The following is a computed powder XRD pattern of MgV3CoO8. It was derived from a DFT-relaxed cell (PBE+U, the Materials Project), using Cu Ka.
Kinematic intensities with the Lorentz-polarization factor, no thermal factor.

Structure:
Lattice parameters (Å, degrees): 6.5051 6.5051 6.8773 106.61 106.61 34.31
Fractional coordinates of all 13 atoms:
Mg1 0.0000 0.0000 0.0000
V1 0.4693 0.4693 0.6682
V2 0.5863 0.5863 0.3137
V3 0.7757 0.7757 0.7127
Co1 0.8725 0.8725 0.2919
O1 0.0496 0.0496 0.2957
O2 0.3037 0.3037 0.6837
O3 0.4296 0.4296 0.3723
O4 0.5371 0.5371 0.0111
O5 0.6282 0.6282 0.6470
O6 0.7355 0.7355 0.3820
O7 0.8258 0.8258 0.9774
O8 0.9445 0.9445 0.6965

Top 12 peaks for 10 to 80 degrees two-theta, by angle:
13.49 deg, I = 46
14.94 deg, I = 63
24.38 deg, I = 100
27.18 deg, I = 40
29.08 deg, I = 85
32.53 deg, I = 25
35.04 deg, I = 26
38.00 deg, I = 29
41.27 deg, I = 56
43.69 deg, I = 40
47.38 deg, I = 53
57.20 deg, I = 28

***

The following is a computed powder XRD pattern of CoAuO2. It was derived from a DFT-relaxed cell (PBE+U, the Materials Project), using Cu Ka.
Kinematic intensities with the Lorentz-polarization factor, no thermal factor.

Structure:
Lattice parameters (Å, degrees): 2.9231 2.9231 12.3107 90.00 90.00 120.00
Fractional coordinates of all 8 atoms:
Co1 0.0000 0.0000 0.0000
Co2 0.0000 0.0000 0.5000
Au1 0.3333 0.6667 0.2500
Au2 0.6667 0.3333 0.7500
O1 0.3333 0.6667 0.0777
O2 0.3333 0.6667 0.4223
O3 0.6667 0.3333 0.5777
O4 0.6667 0.3333 0.9223

Top 12 peaks for 10 to 80 degrees two-theta, by angle:
14.39 deg, I = 53
29.01 deg, I = 53
36.23 deg, I = 100
38.45 deg, I = 57
41.93 deg, I = 41
51.80 deg, I = 37
57.85 deg, I = 22
63.67 deg, I = 23
64.52 deg, I = 18
65.66 deg, I = 9
71.45 deg, I = 25
75.51 deg, I = 12

***

The following is a computed powder XRD pattern of Ba2ErMoO6. It was derived from a DFT-relaxed cell (PBE+U, the Materials Project), using Cu Ka.
Kinematic intensities with the Lorentz-polarization factor, no thermal factor.

Structure:
Lattice parameters (Å, degrees): 5.9834 5.9834 5.9834 60.00 60.00 60.00
Fractional coordinates of all 10 atoms:
Ba1 0.2500 0.2500 0.2500
Ba2 0.7500 0.7500 0.7500
Er1 0.0000 0.0000 0.0000
Mo1 0.5000 0.5000 0.5000
O1 0.2631 0.2631 0.7369
O2 0.2631 0.7369 0.2631
O3 0.2631 0.7369 0.7369
O4 0.7369 0.2631 0.2631
O5 0.7369 0.2631 0.7369
O6 0.7369 0.7369 0.2631

Top 12 peaks for 10 to 80 degrees two-theta, by angle:
18.16 deg, I = 3
29.87 deg, I = 100
35.18 deg, I = 3
36.79 deg, I = 1
42.74 deg, I = 29
46.80 deg, I = 2
53.02 deg, I = 40
56.51 deg, I = 1
62.04 deg, I = 18
65.23 deg, I = 1
70.37 deg, I = 18
78.28 deg, I = 6

***

The following is a computed powder XRD pattern of BaYCuWO5. It was derived from a DFT-relaxed cell (PBE+U, the Materials Project), using Cu Ka.
Kinematic intensities with the Lorentz-polarization factor, no thermal factor.

Structure:
Lattice parameters (Å, degrees): 4.0368 4.0368 8.0027 90.00 90.00 90.00
Fractional coordinates of all 9 atoms:
Ba1 0.0000 0.0000 0.0000
Y1 0.0000 0.0000 0.4364
Cu1 0.5000 0.5000 0.2917
W1 0.5000 0.5000 0.6803
O1 0.0000 0.5000 0.2866
O2 0.0000 0.5000 0.6477
O3 0.5000 0.0000 0.2866
O4 0.5000 0.0000 0.6477
O5 0.5000 0.5000 0.9368

Top 12 peaks for 10 to 80 degrees two-theta, by angle:
11.06 deg, I = 14
24.70 deg, I = 42
31.34 deg, I = 59
31.48 deg, I = 100
33.60 deg, I = 20
44.91 deg, I = 37
46.60 deg, I = 20
51.92 deg, I = 12
55.87 deg, I = 39
57.24 deg, I = 16
62.42 deg, I = 14
74.34 deg, I = 19

***

The following is a computed powder XRD pattern of Na2FeCuF7. It was derived from a DFT-relaxed cell (PBE+U, the Materials Project), using Cu Ka.
Kinematic intensities with the Lorentz-polarization factor, no thermal factor.

Structure:
Lattice parameters (Å, degrees): 7.3206 7.3206 13.1035 106.84 106.84 61.30
Fractional coordinates of all 44 atoms:
Na1 0.0000 0.0000 0.0000
Na2 0.0000 0.0000 0.5000
Na3 0.2143 0.2924 0.7543
Na4 0.2286 0.7714 0.7500
Na5 0.2924 0.2143 0.2543
Na6 0.7076 0.7857 0.7457
Na7 0.7714 0.2286 0.2500
Na8 0.7857 0.7076 0.2457
Fe1 0.0000 0.5000 0.5000
Fe2 0.2426 0.7574 0.2500
Fe3 0.5000 0.0000 0.0000
Fe4 0.7574 0.2426 0.7500
Cu1 0.0000 0.5000 0.0000
Cu2 0.5000 0.0000 0.5000
Cu3 0.5000 0.5000 0.0000
Cu4 0.5000 0.5000 0.5000
F1 0.0012 0.9027 0.3258
F2 0.0020 0.4130 0.3421
F3 0.0782 0.6050 0.1520
F4 0.0973 0.9988 0.1742
F5 0.1881 0.2181 0.5315
F6 0.2063 0.5415 0.9508
F7 0.2181 0.1881 0.0315
F8 0.2208 0.6034 0.5350
F9 0.3808 0.5137 0.3226
F10 0.3950 0.9218 0.3480
F11 0.3966 0.7792 0.9650
F12 0.4130 0.0020 0.8421
F13 0.4585 0.7937 0.5492
F14 0.4863 0.6192 0.1774
F15 0.5137 0.3808 0.8226
F16 0.5415 0.2063 0.4508
F17 0.5870 0.9980 0.1579
F18 0.6034 0.2208 0.0350
F19 0.6050 0.0782 0.6520
F20 0.6192 0.4863 0.6774
F21 0.7792 0.3966 0.4650
F22 0.7819 0.8119 0.9685
F23 0.7937 0.4585 0.0492
F24 0.8119 0.7819 0.4685
F25 0.9027 0.0012 0.8258
F26 0.9218 0.3950 0.8480
F27 0.9980 0.5870 0.6579
F28 0.9988 0.0973 0.6742

Top 12 peaks for 10 to 80 degrees two-theta, by angle:
14.36 deg, I = 32
14.56 deg, I = 16
16.89 deg, I = 26
28.24 deg, I = 22
28.95 deg, I = 50
29.37 deg, I = 100
30.14 deg, I = 40
34.14 deg, I = 25
48.29 deg, I = 36
49.28 deg, I = 23
49.84 deg, I = 41
57.73 deg, I = 28